(1)
Simulated powder diffractogram of SiP2O7 for Cu Ka, from a structure optimized by DFT (PBE).
Intensities are scaled so that the largest is 100.

Top 10 peaks for 10 to 90 degrees two-theta, by intensity:
d 3.459, 25.8 deg, intensity 100.0, hkl 2 1 0; d 3.157, 28.3 deg, intensity 87.6, hkl 2 1 1; d 3.867, 23.0 deg, intensity 58.3, hkl 2 0 0; d 1.876, 48.5 deg, intensity 21.7, hkl 4 1 0; d 1.688, 54.4 deg, intensity 17.3, hkl 4 2 1; d 1.579, 58.5 deg, intensity 13.6, hkl 4 2 2; d 1.729, 52.9 deg, intensity 12.7, hkl 4 0 2; d 1.367, 68.7 deg, intensity 12.2, hkl 4 4 0; d 2.145, 42.1 deg, intensity 11.8, hkl 3 0 2; d 1.412, 66.2 deg, intensity 11.1, hkl 5 1 2

Unit cell a=7.7337 b=7.7337 c=7.7337 alpha=90.00 beta=90.00 gamma=90.00
Positions (direct):
Si: 0.0000 0.0000 0.0000
Si: 0.0000 0.5000 0.5000
Si: 0.5000 0.0000 0.5000
Si: 0.5000 0.5000 0.0000
P: 0.1190 0.6190 0.8810
P: 0.1190 0.8810 0.3810
P: 0.3810 0.1190 0.8810
P: 0.3810 0.3810 0.3810
P: 0.6190 0.6190 0.6190
P: 0.6190 0.8810 0.1190
P: 0.8810 0.1190 0.6190
P: 0.8810 0.3810 0.1190
O: 0.0000 0.0000 0.5000
O: 0.0000 0.5000 0.0000
O: 0.0609 0.6952 0.3988
O: 0.0609 0.8048 0.8988
O: 0.1012 0.5609 0.6952
O: 0.1012 0.9391 0.1952
O: 0.1952 0.1012 0.9391
O: 0.1952 0.3988 0.4391
O: 0.3048 0.6012 0.9391
O: 0.3048 0.8988 0.4391
O: 0.3988 0.0609 0.6952
O: 0.3988 0.4391 0.1952
O: 0.4391 0.1952 0.3988
O: 0.4391 0.3048 0.8988
O: 0.5000 0.0000 0.0000
O: 0.5000 0.5000 0.5000
O: 0.5609 0.6952 0.1012
O: 0.5609 0.8048 0.6012
O: 0.6012 0.5609 0.8048
O: 0.6012 0.9391 0.3048
O: 0.6952 0.1012 0.5609
O: 0.6952 0.3988 0.0609
O: 0.8048 0.6012 0.5609
O: 0.8048 0.8988 0.0609
O: 0.8988 0.0609 0.8048
O: 0.8988 0.4391 0.3048
O: 0.9391 0.1952 0.1012
O: 0.9391 0.3048 0.6012


(2)
Simulated powder diffractogram of Y2SiP4O15 for Cu Ka, from a structure optimized by DFT (PBE).
Intensities are scaled so that the largest is 100.

Top 10 peaks for 10 to 90 degrees two-theta, by intensity:
d 3.466, 25.7 deg, intensity 100.0, hkl 2 1 0; d 4.635, 19.1 deg, intensity 90.7, hkl 0 2 1; d 8.282, 10.7 deg, intensity 84.6, hkl 0 2 0; d 3.929, 22.6 deg, intensity 64.8, hkl 0 3 1; d 3.437, 25.9 deg, intensity 46.5, hkl 1 3 1; d 3.879, 22.9 deg, intensity 40.0, hkl 1 2 1; d 3.013, 29.7 deg, intensity 32.8, hkl 1 4 1; d 2.850, 31.4 deg, intensity 26.8, hkl 0 5 1; d 1.794, 50.9 deg, intensity 23.0, hkl 3 1 2; d 2.645, 33.9 deg, intensity 22.8, hkl 1 5 1

Unit cell a=7.0886 b=16.5641 c=5.5933 alpha=90.00 beta=90.00 gamma=90.00
Positions (direct):
Y: 0.0940 0.2176 0.3648
Y: 0.4060 0.7176 0.6352
Y: 0.5940 0.2824 0.6352
Y: 0.9060 0.7824 0.3648
Si: 0.0000 0.5000 0.9588
Si: 0.5000 0.0000 0.0412
P: 0.0891 0.3307 0.8075
P: 0.1372 0.0742 0.8574
P: 0.3628 0.5742 0.1426
P: 0.4109 0.8307 0.1925
P: 0.5891 0.1693 0.1925
P: 0.6372 0.4258 0.1426
P: 0.8628 0.9258 0.8574
P: 0.9109 0.6693 0.8075
O: 0.0000 0.0000 0.8895
O: 0.0736 0.4274 0.7835
O: 0.0769 0.7065 0.6647
O: 0.0902 0.3112 0.0724
O: 0.1078 0.1131 0.6186
O: 0.1145 0.1260 0.0749
O: 0.1631 0.5312 0.1428
O: 0.2354 0.8032 0.3341
O: 0.2646 0.3032 0.6659
O: 0.3369 0.0312 0.8572
O: 0.3855 0.6260 0.9251
O: 0.3922 0.6131 0.3814
O: 0.4098 0.8112 0.9276
O: 0.4231 0.2065 0.3353
O: 0.4264 0.9274 0.2165
O: 0.5000 0.5000 0.1105
O: 0.5736 0.0726 0.2165
O: 0.5769 0.7935 0.3353
O: 0.5902 0.1888 0.9276
O: 0.6078 0.3869 0.3814
O: 0.6145 0.3740 0.9251
O: 0.6631 0.9688 0.8572
O: 0.7354 0.6968 0.6659
O: 0.7646 0.1968 0.3341
O: 0.8369 0.4688 0.1428
O: 0.8855 0.8740 0.0749
O: 0.8922 0.8869 0.6186
O: 0.9098 0.6888 0.0724
O: 0.9231 0.2935 0.6647
O: 0.9264 0.5726 0.7835